TbNi6B2: calculated X-ray diffraction stick pattern (λ = 1.5418 Å (Cu Kα)), based on the GGA-PBE geometry in Alexandria.

Most intense lines, 2θ = 15–90°, in order of rising 2θ:
two_theta	I/Imax
30.2	577
36.7	1000
40.1	628
48.2	271
52.8	576
59.6	135
62.1	97
66.0	118
74.3	266
80.1	179
83.7	86
89.4	103

Structure:
Lattice parameters (Å, degrees): 6.933 6.933 6.933 60.00 60.00 60.00
Fractional coordinates of all 18 atoms:
Tb  0.125  0.125  0.125
Tb  0.875  0.875  0.875
Ni  0.167  0.167  0.583
Ni  0.167  0.583  0.167
Ni  0.167  0.583  0.583
Ni  0.417  0.417  0.833
Ni  0.417  0.833  0.417
Ni  0.417  0.833  0.833
Ni  0.583  0.167  0.167
Ni  0.583  0.167  0.583
Ni  0.583  0.583  0.167
Ni  0.833  0.417  0.417
Ni  0.833  0.417  0.833
Ni  0.833  0.833  0.417
B  0.000  0.500  0.500
B  0.500  0.000  0.500
B  0.500  0.500  0.000
B  0.500  0.500  0.500

***

Tb2NiB10: calculated X-ray diffraction stick pattern (λ = 1.5418 Å (Cu Kα)), based on the GGA-PBE geometry in Alexandria.

Most intense lines, 2θ = 15–90°, in order of rising 2θ:
two_theta	I/Imax
21.4	304
22.6	700
28.0	280
29.0	153
31.4	1000
32.2	255
39.0	771
39.8	210
43.6	188
46.2	173
49.7	279
60.1	159

Structure:
Lattice parameters (Å, degrees): 5.565 11.097 4.149 90.00 90.00 90.00
Fractional coordinates of all 26 atoms:
Tb  0.187  0.137  0.000
Tb  0.313  0.637  0.000
Tb  0.687  0.363  0.000
Tb  0.813  0.863  0.000
Ni  0.000  0.500  0.500
Ni  0.500  0.000  0.500
B  0.031  0.313  0.500
B  0.126  0.959  0.500
B  0.158  0.802  0.500
B  0.201  0.386  0.199
B  0.201  0.386  0.801
B  0.299  0.886  0.199
B  0.299  0.886  0.801
B  0.342  0.302  0.500
B  0.374  0.459  0.500
B  0.469  0.813  0.500
B  0.531  0.187  0.500
B  0.626  0.541  0.500
B  0.658  0.698  0.500
B  0.701  0.114  0.199
B  0.701  0.114  0.801
B  0.799  0.614  0.199
B  0.799  0.614  0.801
B  0.842  0.198  0.500
B  0.874  0.041  0.500
B  0.969  0.687  0.500

***

TbNi12B6: calculated X-ray diffraction stick pattern (λ = 1.5418 Å (Cu Kα)), based on the GGA-PBE geometry in Alexandria.

Most intense lines, 2θ = 15–90°, in order of rising 2θ:
two_theta	I/Imax
31.7	594
32.6	273
34.5	185
34.8	476
39.4	682
41.2	737
41.4	1000
44.0	419
45.3	176
49.8	296
58.1	250
61.4	273

Structure:
Lattice parameters (Å, degrees): 6.036 6.036 10.986 90.00 90.00 75.20
Fractional coordinates of all 38 atoms:
Tb  0.167  0.833  0.500
Tb  0.833  0.167  0.000
Ni  0.003  0.632  0.059
Ni  0.118  0.145  0.241
Ni  0.145  0.118  0.741
Ni  0.194  0.544  0.263
Ni  0.212  0.526  0.720
Ni  0.217  0.783  0.897
Ni  0.271  0.342  0.929
Ni  0.342  0.271  0.429
Ni  0.368  0.997  0.059
Ni  0.433  0.567  0.079
Ni  0.456  0.806  0.263
Ni  0.474  0.788  0.720
Ni  0.526  0.212  0.220
Ni  0.544  0.194  0.763
Ni  0.567  0.433  0.579
Ni  0.632  0.003  0.559
Ni  0.658  0.729  0.929
Ni  0.729  0.658  0.429
Ni  0.783  0.217  0.397
Ni  0.788  0.474  0.220
Ni  0.806  0.456  0.763
Ni  0.855  0.882  0.241
Ni  0.882  0.855  0.741
Ni  0.997  0.368  0.559
B  0.013  0.400  0.374
B  0.163  0.837  0.158
B  0.242  0.327  0.112
B  0.327  0.242  0.612
B  0.400  0.013  0.874
B  0.487  0.513  0.841
B  0.513  0.487  0.341
B  0.600  0.987  0.374
B  0.673  0.758  0.112
B  0.758  0.673  0.612
B  0.837  0.163  0.658
B  0.987  0.600  0.874

***

TbNiB4: calculated X-ray diffraction stick pattern (λ = 1.5418 Å (Cu Kα)), based on the GGA-PBE geometry in Alexandria.

Most intense lines, 2θ = 15–90°, in order of rising 2θ:
two_theta	I/Imax
23.5	747
28.4	212
31.6	842
33.5	199
33.7	284
39.8	1000
48.2	330
54.3	197
58.8	261
70.5	199
71.3	235
84.1	194

Structure:
Lattice parameters (Å, degrees): 6.836 6.836 6.836 112.89 112.89 102.83
Fractional coordinates of all 24 atoms:
Tb  0.204  0.204  0.000
Tb  0.250  0.750  0.500
Tb  0.750  0.250  0.500
Tb  0.796  0.796  0.000
Ni  0.271  0.500  0.771
Ni  0.500  0.271  0.771
Ni  0.500  0.729  0.229
Ni  0.729  0.500  0.229
B  0.111  0.276  0.387
B  0.111  0.724  0.836
B  0.114  0.114  0.532
B  0.114  0.581  0.000
B  0.276  0.111  0.387
B  0.276  0.889  0.164
B  0.419  0.419  0.532
B  0.419  0.886  0.000
B  0.581  0.114  0.000
B  0.581  0.581  0.468
B  0.724  0.111  0.836
B  0.724  0.889  0.613
B  0.886  0.419  0.000
B  0.886  0.886  0.468
B  0.889  0.276  0.164
B  0.889  0.724  0.613

***

Tb3Ni7B2: calculated X-ray diffraction stick pattern (λ = 1.5418 Å (Cu Kα)), based on the GGA-PBE geometry in Alexandria.

Most intense lines, 2θ = 15–90°, in order of rising 2θ:
two_theta	I/Imax
21.1	130
32.2	171
35.2	391
37.4	1000
40.9	190
41.4	582
43.6	764
64.6	367
69.0	188
73.3	223
74.4	205
86.4	147

Structure:
Lattice parameters (Å, degrees): 5.098 5.098 14.333 90.00 90.00 120.00
Fractional coordinates of all 24 atoms:
Tb  0.333  0.667  0.032
Tb  0.333  0.667  0.250
Tb  0.333  0.667  0.468
Tb  0.667  0.333  0.532
Tb  0.667  0.333  0.750
Tb  0.667  0.333  0.968
Ni  0.000  0.000  0.000
Ni  0.000  0.000  0.500
Ni  0.165  0.331  0.650
Ni  0.165  0.331  0.850
Ni  0.165  0.835  0.650
Ni  0.165  0.835  0.850
Ni  0.331  0.165  0.150
Ni  0.331  0.165  0.350
Ni  0.669  0.835  0.650
Ni  0.669  0.835  0.850
Ni  0.835  0.165  0.150
Ni  0.835  0.165  0.350
Ni  0.835  0.669  0.150
Ni  0.835  0.669  0.350
B  0.000  0.000  0.250
B  0.000  0.000  0.750
B  0.333  0.667  0.750
B  0.667  0.333  0.250

***

Tb2ZnNi12B3: calculated X-ray diffraction stick pattern (λ = 1.5418 Å (Cu Kα)), based on the GGA-PBE geometry in Alexandria.

Most intense lines, 2θ = 15–90°, in order of rising 2θ:
two_theta	I/Imax
18.2	69
25.2	89
29.7	202
30.2	71
36.8	187
40.5	1000
41.6	182
47.7	112
51.8	261
65.0	130
67.7	79
79.9	121

Structure:
Lattice parameters (Å, degrees): 6.781 6.781 6.781 62.75 62.75 62.75
Fractional coordinates of all 18 atoms:
Tb  0.095  0.095  0.095
Tb  0.905  0.905  0.905
Zn  0.500  0.500  0.500
Ni  0.070  0.642  0.642
Ni  0.227  0.227  0.623
Ni  0.227  0.623  0.227
Ni  0.358  0.358  0.930
Ni  0.358  0.930  0.358
Ni  0.377  0.773  0.773
Ni  0.623  0.227  0.227
Ni  0.642  0.070  0.642
Ni  0.642  0.642  0.070
Ni  0.773  0.377  0.773
Ni  0.773  0.773  0.377
Ni  0.930  0.358  0.358
B  0.000  0.500  0.500
B  0.500  0.000  0.500
B  0.500  0.500  0.000